No. 1
Computed X-ray diffraction stick pattern
Compound: CrP2O7
Radiation: Cu Kα, 1.54184 Å
Structure: a cell relaxed with PBE+U
Lines closer than 0.1° are merged.

Cell and atoms:
```
CrP2O7
1.0
6.9057 0.0000 0.0000
0.0000 8.5585 0.0000
-2.8999 0.0000 8.9276
Cr P O
4 8 28
Cartesian
0.5140 0.6723 2.7572
-0.9359 3.6069 7.2210
4.9417 4.9516 1.7066
3.4918 7.8862 6.1704
-2.6460 6.1144 8.5780
-1.1961 6.7234 4.1142
2.0958 6.4073 2.1724
0.6458 6.4305 6.6362
3.3600 2.1280 2.2914
1.9101 2.1512 6.7552
5.2019 1.8351 4.8134
6.6519 2.4441 0.3496
-0.2094 1.0651 1.0732
-1.6593 3.2142 5.5370
-2.3282 4.9924 7.6097
-0.8782 7.8454 3.1459
-0.3369 1.6893 4.0966
-1.7868 2.5899 8.5604
1.3961 6.1856 0.7213
-0.0539 6.6522 5.1851
1.5572 5.4445 3.1722
0.1073 7.3933 7.6360
0.3707 4.9267 6.9898
1.8207 7.9111 2.5260
1.8620 2.0382 2.6020
0.4121 2.2410 7.0658
3.5938 6.3175 1.8618
2.1438 6.5203 6.3256
2.1852 0.6475 6.4016
3.6351 3.6318 1.9378
3.8986 1.1653 1.2916
2.4486 3.1140 5.7554
4.0597 1.9064 3.7425
2.6098 2.3729 8.2063
5.7927 5.9686 0.3672
4.3427 6.8692 4.8310
4.8841 0.7132 5.7817
6.3340 3.5661 1.3179
5.6651 5.3443 3.3905
4.2152 7.4935 7.8543
```

Most intense lines, 5 to 70 degrees two-theta, by angle:
2θ 13.48, I = 23; 2θ 14.34, I = 40; 2θ 17.48, I = 30; 2θ 19.89, I = 38; 2θ 20.76, I = 39; 2θ 21.75, I = 81; 2θ 23.05, I = 34; 2θ 27.41, I = 76; 2θ 29.18, I = 100; 2θ 30.23, I = 61

---

No. 2
Computed X-ray diffraction stick pattern
Compound: CrPO4
Radiation: Cu Kα, 1.54184 Å
Structure: a cell relaxed with PBE+U
Lines closer than 0.1° are merged.

Cell and atoms:
```
CrPO4
1.0
2.6115 -3.9564 0.0000
2.6115 3.9564 0.0000
0.0000 0.0000 6.3154
Cr P O
2 2 8
Cartesian
0.0000 0.0000 0.0000
0.0000 0.0000 3.1577
2.6115 1.2044 4.7366
2.6115 -1.2044 1.5789
1.3286 0.2583 4.7366
2.6115 2.0133 3.4533
2.6115 2.0133 6.0199
1.3286 -0.2583 1.5789
3.8944 0.2583 4.7366
2.6115 -2.0133 0.2955
2.6115 -2.0133 2.8622
3.8944 -0.2583 1.5789
```

Most intense lines, 5 to 70 degrees two-theta, by angle:
2θ 20.37, I = 49; 2θ 22.47, I = 25; 2θ 24.82, I = 63; 2θ 26.59, I = 37; 2θ 34.34, I = 36; 2θ 35.09, I = 100; 2θ 38.23, I = 46; 2θ 45.05, I = 28; 2θ 50.91, I = 26; 2θ 66.25, I = 35